For CsCr2NiO8, a cell relaxed with GGA+U gives the simulated XRD peak list in this record (Cu Kα (λ = 1.5418 Å)).

Structural model:
```
data_CsCr2NiO8
_chemical_formula_sum 'Cs1 Cr2 Ni1 O8'
_symmetry_space_group_name_H-M 'P -3'
_symmetry_Int_Tables_number 147
_cell_length_a 5.4307
_cell_length_b 5.4307
_cell_length_c 8.3544
_cell_angle_alpha 90.00
_cell_angle_beta 90.00
_cell_angle_gamma 120.00
loop_
_symmetry_equiv_pos_as_xyz
'x,y,z'
'-x,-y,-z'
'-y,x-y,z'
'y,-x+y,-z'
'-x+y,-x,z'
'x-y,x,-z'
loop_
_atom_site_label
_atom_site_type_symbol
_atom_site_fract_x
_atom_site_fract_y
_atom_site_fract_z
Cs1 Cs 0.0000 0.0000 0.0000
Cr1 Cr 0.3333 0.6667 0.7036
Ni1 Ni 0.0000 0.0000 0.5000
O1 O 0.1024 0.3363 0.6435
O2 O 0.3333 0.6667 0.9005
```

Peak list (10 most intense, 10 to 90 degrees two-theta, sorted by position)
two_theta  Rel. int.  index
18.9  45.3  1 0 0
21.7  72.3  1 0 1
28.6  100.0  0 1 2
33.0  54.0  1 1 0
39.6  12.9  2 -1 2
44.2  31.8  0 2 2
47.6  18.1  1 0 4
55.5  15.6  1 1 4
56.2  28.0  3 -2 2
58.9  12.2  3 0 0